[1]
Rb2TlSbF6: theoretical XRD peak list (copper Kα), based on a GGA-PBE-relaxed structure.
Lines closer than 0.1° are merged.

Principal peaks in the range 15° ≤ 2θ ≤ 90°, sorted by position:
18.23°, rel. 20
25.89°, rel. 100
36.94°, rel. 35
41.48°, rel. 9
45.66°, rel. 43
53.23°, rel. 23
60.11°, rel. 21
66.55°, rel. 7
72.69°, rel. 23
84.44°, rel. 11

Structural model:
Cell: 6.8834 6.8834 6.8834 Å, 60.00 60.00 60.00°
Positions (direct):
Rb  0.2500  0.2500  0.2500
Rb  0.7500  0.7500  0.7500
Tl  0.0000  0.0000  0.0000
Sb  0.5000  0.5000  0.5000
F  0.2738  0.2738  0.7262
F  0.2738  0.7262  0.2738
F  0.2738  0.7262  0.7262
F  0.7262  0.2738  0.2738
F  0.7262  0.2738  0.7262
F  0.7262  0.7262  0.2738

---

[2]
LiDy3: theoretical XRD peak list (copper Kα), based on a GGA-PBE-relaxed structure.
Lines closer than 0.1° are merged.

Principal peaks in the range 15° ≤ 2θ ≤ 90°, sorted by position:
21.78°, rel. 33
25.45°, rel. 14
29.47°, rel. 24
32.47°, rel. 25
33.74°, rel. 100
44.41°, rel. 16
52.27°, rel. 19
58.74°, rel. 21
62.90°, rel. 22
63.67°, rel. 16

Structural model:
Cell: 7.0004 7.0004 5.5154 Å, 90.00 90.00 120.00°
Positions (direct):
Li  0.3333  0.6667  0.2500
Li  0.6667  0.3333  0.7500
Dy  0.1690  0.3380  0.7500
Dy  0.1690  0.8310  0.7500
Dy  0.3380  0.1690  0.2500
Dy  0.6620  0.8310  0.7500
Dy  0.8310  0.1690  0.2500
Dy  0.8310  0.6620  0.2500

---

[3]
Sr7PtN6: theoretical XRD peak list (copper Kα), based on a GGA-PBE-relaxed structure.
Lines closer than 0.1° are merged.

Principal peaks in the range 15° ≤ 2θ ≤ 90°, sorted by position:
20.19°, rel. 25
28.23°, rel. 27
28.44°, rel. 29
29.81°, rel. 33
30.81°, rel. 100
32.19°, rel. 30
33.12°, rel. 54
34.36°, rel. 17
41.66°, rel. 23
56.53°, rel. 17

Structural model:
Cell: 9.6763 9.6763 9.6763 Å, 139.22 99.10 94.85°
Positions (direct):
Sr  0.0462  0.2305  0.2767
Sr  0.0868  0.5078  0.8569
Sr  0.1509  0.0078  0.4210
Sr  0.2500  0.2500  0.0000
Sr  0.3491  0.7702  0.8569
Sr  0.4132  0.2702  0.4210
Sr  0.4538  0.7305  0.1843
Sr  0.5462  0.2695  0.8157
Sr  0.5868  0.7298  0.5790
Sr  0.6509  0.2298  0.1431
Sr  0.7500  0.7500  0.0000
Sr  0.8491  0.9922  0.5790
Sr  0.9132  0.4922  0.1431
Sr  0.9538  0.7695  0.7233
Pt  0.2500  0.7500  0.5000
Pt  0.7500  0.2500  0.5000
N  0.0782  0.8829  0.5686
N  0.1448  0.8990  0.0438
N  0.1857  0.6171  0.1953
N  0.3143  0.5096  0.4314
N  0.3552  0.3990  0.7542
N  0.4218  0.9904  0.8047
N  0.5782  0.0096  0.1953
N  0.6448  0.6010  0.2458
N  0.6857  0.4904  0.5686
N  0.8143  0.3829  0.8047
N  0.8552  0.1010  0.9562
N  0.9218  0.1171  0.4314

---

[4]
Nd4Ge3S12: theoretical XRD peak list (copper Kα), based on a GGA-PBE-relaxed structure.
Lines closer than 0.1° are merged.

Principal peaks in the range 15° ≤ 2θ ≤ 90°, sorted by position:
17.77°, rel. 26
24.18°, rel. 100
25.55°, rel. 21
26.25°, rel. 43
32.14°, rel. 40
34.76°, rel. 50
35.99°, rel. 20
36.68°, rel. 23
36.91°, rel. 28
47.85°, rel. 22

Structural model:
Cell: 11.5603 11.5603 11.5603 Å, 114.82 114.82 114.82°
Positions (direct):
Nd  0.0000  0.0000  0.0000
Nd  0.2135  0.4368  0.9756
Nd  0.4368  0.9756  0.2135
Nd  0.4756  0.9368  0.7135
Nd  0.5000  0.5000  0.5000
Nd  0.7135  0.4756  0.9368
Nd  0.9368  0.7135  0.4756
Nd  0.9756  0.2135  0.4368
Ge  0.1449  0.9702  0.3567
Ge  0.3567  0.1449  0.9702
Ge  0.4702  0.6449  0.8567
Ge  0.6449  0.8567  0.4702
Ge  0.8567  0.4702  0.6449
Ge  0.9702  0.3567  0.1449
S  0.0873  0.6326  0.3539
S  0.0870  0.7982  0.1129
S  0.1129  0.0870  0.7982
S  0.1326  0.5873  0.8539
S  0.1868  0.1891  0.3733
S  0.1891  0.3733  0.1868
S  0.2824  0.8866  0.8136
S  0.2982  0.5870  0.6129
S  0.3136  0.3866  0.7824
S  0.3539  0.0873  0.6326
S  0.3733  0.1868  0.1891
S  0.3866  0.7824  0.3136
S  0.5870  0.6129  0.2982
S  0.5873  0.8539  0.1326
S  0.6129  0.2982  0.5870
S  0.6326  0.3539  0.0873
S  0.6868  0.8733  0.6891
S  0.6891  0.6868  0.8733
S  0.7824  0.3136  0.3866
S  0.7982  0.1129  0.0870
S  0.8136  0.2824  0.8866
S  0.8539  0.1326  0.5873
S  0.8733  0.6891  0.6868
S  0.8866  0.8136  0.2824